Li4Cu4Cl10O: theoretical X-ray powder pattern (Cu Kα X-rays), based on DFT lattice parameters and positions (PBE).
Peak positions follow from Bragg's law for the DFT cell and can differ from measured ones.

Structure:
Cell lengths 10.8391, 10.8391, 7.1343 Å; angles 95.56, 95.56, 84.14 degrees
Sites, in units of the cell vectors:
Li 0.0317 0.3913 0.3148
Li 0.1999 0.3665 0.8159
Li 0.3665 0.1999 0.3159
Li 0.3913 0.0317 0.8148
Li 0.6087 0.9683 0.1852
Li 0.6335 0.8001 0.6841
Li 0.8001 0.6335 0.1841
Li 0.9683 0.6087 0.6852
Cu 0.0976 0.7476 0.0841
Cu 0.2524 0.9024 0.4159
Cu 0.2567 0.5815 0.3505
Cu 0.4185 0.7433 0.1495
Cu 0.5815 0.2567 0.8505
Cu 0.7433 0.4185 0.6495
Cu 0.7476 0.0976 0.5841
Cu 0.9024 0.2524 0.9159
Cl 0.0417 0.6182 0.3741
Cl 0.0646 0.9354 0.2500
Cl 0.0997 0.2563 0.0492
Cl 0.1772 0.5978 0.8725
Cl 0.2563 0.0997 0.5492
Cl 0.2598 0.3923 0.4688
Cl 0.3818 0.9583 0.1259
Cl 0.3923 0.2598 0.9688
Cl 0.4022 0.8228 0.6275
Cl 0.4495 0.5505 0.2500
Cl 0.5505 0.4495 0.7500
Cl 0.5978 0.1772 0.3725
Cl 0.6077 0.7402 0.0312
Cl 0.6182 0.0417 0.8741
Cl 0.7402 0.6077 0.5312
Cl 0.7437 0.9003 0.4508
Cl 0.8228 0.4022 0.1275
Cl 0.9003 0.7437 0.9508
Cl 0.9354 0.0646 0.7500
Cl 0.9583 0.3818 0.6259
O 0.2550 0.7450 0.2500
O 0.7450 0.2550 0.7500

Largest 12 diffraction maxima, in order of falling intensity, 2θ from 10° to 80°:
- 14.38 deg, intensity 100
- 15.59 deg, intensity 73
- 28.94 deg, intensity 72
- 12.19 deg, intensity 55
- 19.86 deg, intensity 53
- 21.64 deg, intensity 52
- 36.83 deg, intensity 50
- 34.03 deg, intensity 39
- 11.09 deg, intensity 31
- 34.68 deg, intensity 27
- 37.27 deg, intensity 26
- 20.47 deg, intensity 25

=====

Sm12Ho7Zr: theoretical X-ray powder pattern (Cu Kα X-rays), based on DFT lattice parameters and positions (PBE).
Peak positions follow from Bragg's law for the DFT cell and can differ from measured ones.

Structure:
Cell lengths 11.4483, 11.4483, 11.4483 Å; angles 116.89, 116.89, 116.89 degrees
Sites, in units of the cell vectors:
Sm 0.0000 0.4134 0.5866
Sm 0.0000 0.5866 0.4134
Sm 0.0757 0.0757 0.4290
Sm 0.0757 0.4290 0.0757
Sm 0.4134 0.0000 0.5866
Sm 0.4134 0.5866 0.0000
Sm 0.4290 0.0757 0.0757
Sm 0.5710 0.9243 0.9243
Sm 0.5866 0.0000 0.4134
Sm 0.5866 0.4134 0.0000
Sm 0.9243 0.5710 0.9243
Sm 0.9243 0.9243 0.5710
Ho 0.0000 0.0000 0.0000
Ho 0.1419 0.3832 0.3832
Ho 0.3832 0.1419 0.3832
Ho 0.3832 0.3832 0.1419
Ho 0.6168 0.6168 0.8581
Ho 0.6168 0.8581 0.6168
Ho 0.8581 0.6168 0.6168
Zr 0.5000 0.5000 0.5000

Largest 12 diffraction maxima, in order of falling intensity, 2θ from 10° to 80°:
- 30.21 deg, intensity 100
- 32.94 deg, intensity 40
- 31.08 deg, intensity 39
- 33.11 deg, intensity 37
- 39.73 deg, intensity 33
- 27.43 deg, intensity 33
- 56.49 deg, intensity 27
- 40.16 deg, intensity 25
- 46.55 deg, intensity 24
- 29.66 deg, intensity 23
- 48.00 deg, intensity 22
- 35.02 deg, intensity 22

=====

NiC4NCl3: theoretical X-ray powder pattern (Cu Kα X-rays), based on DFT lattice parameters and positions (PBE).
Peak positions follow from Bragg's law for the DFT cell and can differ from measured ones.

Structure:
Cell lengths 8.4740, 8.4740, 5.7412 Å; angles 90.00, 90.00, 120.00 degrees
Sites, in units of the cell vectors:
Ni 0.0000 0.0000 0.0000
Ni 0.0000 0.0000 0.5000
C 0.1893 0.5793 0.2249
C 0.3333 0.6667 0.0423
C 0.3900 0.8107 0.2249
C 0.4207 0.6100 0.2249
C 0.5793 0.3900 0.7249
C 0.6100 0.1893 0.7249
C 0.6667 0.3333 0.5423
C 0.8107 0.4207 0.7249
N 0.3333 0.6667 0.4051
N 0.6667 0.3333 0.9051
Cl 0.0100 0.2169 0.7502
Cl 0.2069 0.9900 0.7502
Cl 0.2169 0.2069 0.2502
Cl 0.7831 0.7931 0.7502
Cl 0.7931 0.0100 0.2502
Cl 0.9900 0.7831 0.2502

Largest 12 diffraction maxima, in order of falling intensity, 2θ from 10° to 80°:
- 12.06 deg, intensity 100
- 20.97 deg, intensity 31
- 35.96 deg, intensity 21
- 45.47 deg, intensity 20
- 26.14 deg, intensity 11
- 19.63 deg, intensity 9
- 37.86 deg, intensity 9
- 39.87 deg, intensity 9
- 53.78 deg, intensity 8
- 57.55 deg, intensity 7
- 48.92 deg, intensity 6
- 44.51 deg, intensity 5

=====

Ac2PdAuN: theoretical X-ray powder pattern (Cu Kα X-rays), based on DFT lattice parameters and positions (PBE).
Peak positions follow from Bragg's law for the DFT cell and can differ from measured ones.

Structure:
Cell lengths 7.4124, 4.0202, 8.6480 Å; angles 90.00, 108.93, 90.00 degrees
Sites, in units of the cell vectors:
Ac 0.2033 0.2500 0.3847
Ac 0.2149 0.2500 0.9691
Ac 0.7851 0.7500 0.0309
Ac 0.7967 0.7500 0.6153
Pd 0.4571 0.7500 0.2469
Pd 0.5429 0.2500 0.7531
Au 0.2694 0.7500 0.6933
Au 0.7306 0.2500 0.3067
N 0.1389 0.7500 0.1650
N 0.8611 0.2500 0.8350

Largest 12 diffraction maxima, in order of falling intensity, 2θ from 10° to 80°:
- 30.89 deg, intensity 100
- 31.19 deg, intensity 92
- 25.41 deg, intensity 83
- 45.13 deg, intensity 70
- 32.98 deg, intensity 41
- 35.66 deg, intensity 40
- 32.85 deg, intensity 40
- 36.45 deg, intensity 36
- 38.27 deg, intensity 35
- 33.93 deg, intensity 32
- 27.62 deg, intensity 32
- 44.07 deg, intensity 30